Calculated powder XRD pattern of ScCo6Ge6 for Cu Kα, from a GGA-PBE-relaxed structure.
No peak broadening, texture or thermal motion is included.

Crystal structure
```
data_ScCo6Ge6
_chemical_formula_sum 'Sc1 Co6 Ge6'
_cell_length_a 5.0437
_cell_length_b 5.0437
_cell_length_c 7.7906
_cell_angle_alpha 90.00
_cell_angle_beta 90.00
_cell_angle_gamma 120.00
_symmetry_space_group_name_H-M 'P 6/m m m'
_symmetry_Int_Tables_number 191
_symmetry_space_group_name_Hall '-P 6 2'
loop_
_atom_site_label
_atom_site_fract_x
_atom_site_fract_y
_atom_site_fract_z
Sc1 0.0000 0.0000 0.0000
Co1 0.0000 0.5000 0.2496
Ge1 0.0000 0.0000 0.3398
Ge2 0.3333 0.6667 0.0000
Ge3 0.3333 0.6667 0.5000
```

Top 6 peaks for 15 to 90 degrees two-theta, low angle first:
hkl 1 1 0, 2θ 35.60, rel. 56; hkl 2 0 0, 2θ 41.34, rel. 45; hkl 1 1 2, 2θ 42.71, rel. 78; hkl 2 0 2, 2θ 47.74, rel. 100; hkl 1 0 4, 2θ 51.37, rel. 29; hkl 2 2 0, 2θ 75.38, rel. 31

***

Calculated powder XRD pattern of Ca2La4Ti5O18 for Cu Kα, from a GGA-PBE-relaxed structure.
No peak broadening, texture or thermal motion is included.

Crystal structure
```
data_Ca2La4Ti5O18
_chemical_formula_sum 'Ca6 La12 Ti15 O54'
_cell_length_a 5.5354
_cell_length_b 5.5354
_cell_length_c 40.0019
_cell_angle_alpha 90.00
_cell_angle_beta 90.00
_cell_angle_gamma 120.00
_symmetry_space_group_name_H-M 'R -3 m'
_symmetry_Int_Tables_number 166
_symmetry_space_group_name_Hall '-R 3 2"'
loop_
_atom_site_label
_atom_site_fract_x
_atom_site_fract_y
_atom_site_fract_z
Ca1 0.0000 0.0000 0.1391
La1 0.0000 0.0000 0.3128
La2 0.0000 0.0000 0.4130
Ti1 0.0000 0.0000 0.0504
Ti2 0.0000 0.0000 0.2231
Ti3 0.0000 0.0000 0.5000
O1 0.0007 0.5003 0.5834
O2 0.0011 0.5006 0.1387
O3 0.0131 0.5066 0.3044
```

Top 6 peaks for 15 to 90 degrees two-theta, low angle first:
hkl 1 0 1, 2θ 18.64, rel. 27; hkl 0 1 8, 2θ 25.75, rel. 23; hkl 0 1 11, 2θ 30.86, rel. 100; hkl 1 1 0, 2θ 32.35, rel. 94; hkl 2 0 11, 2θ 45.31, rel. 68; hkl 1 2 11, 2θ 56.77, rel. 36

***

Calculated powder XRD pattern of Te4Mo3WSe2S2 for Cu Kα, from a GGA-PBE-relaxed structure.
No peak broadening, texture or thermal motion is included.

Crystal structure
```
data_Te4Mo3WSe2S2
_chemical_formula_sum 'Te4 Mo3 W1 Se2 S2'
_cell_length_a 3.3991
_cell_length_b 3.3991
_cell_length_c 40.2118
_cell_angle_alpha 90.00
_cell_angle_beta 90.00
_cell_angle_gamma 120.00
_symmetry_space_group_name_H-M 'P 3 m 1'
_symmetry_Int_Tables_number 156
loop_
_symmetry_equiv_pos_as_xyz
'x,y,z'
'-y,x-y,z'
'-x+y,-x,z'
'-y,-x,z'
'-x+y,y,z'
'x,x-y,z'
loop_
_atom_site_label
_atom_site_fract_x
_atom_site_fract_y
_atom_site_fract_z
Te1 0.0000 0.0000 0.0000
Te2 0.0000 0.0000 0.0933
Te3 0.3333 0.6667 0.1902
Te4 0.3333 0.6667 0.2834
Mo1 0.0000 0.0000 0.2368
Mo2 0.0000 0.0000 0.8601
Mo3 0.3333 0.6667 0.0466
W1 0.3333 0.6667 0.4243
Se1 0.0000 0.0000 0.3831
Se2 0.0000 0.0000 0.4655
S1 0.3333 0.6667 0.8227
S2 0.3333 0.6667 0.8974
```

Top 6 peaks for 15 to 90 degrees two-theta, low angle first:
hkl 1 0 0, 2θ 30.39, rel. 65; hkl 1 0 8, 2θ 35.33, rel. 100; hkl 1 0 9, 2θ 36.55, rel. 22; hkl 0 1 13, 2θ 42.39, rel. 74; hkl 1 0 14, 2θ 44.05, rel. 22; hkl 1 1 0, 2θ 53.96, rel. 44

***

Calculated powder XRD pattern of NaAu3 for Cu Kα, from a GGA-PBE-relaxed structure.
No peak broadening, texture or thermal motion is included.

Crystal structure
```
data_NaAu3
_chemical_formula_sum 'Na2 Au6'
_cell_length_a 5.8043
_cell_length_b 5.8043
_cell_length_c 5.1190
_cell_angle_alpha 90.00
_cell_angle_beta 90.00
_cell_angle_gamma 120.00
_symmetry_space_group_name_H-M 'P 63/m m c'
_symmetry_Int_Tables_number 194
_symmetry_space_group_name_Hall '-P 6c 2c'
loop_
_atom_site_label
_atom_site_fract_x
_atom_site_fract_y
_atom_site_fract_z
Na1 0.3333 0.6667 0.2500
Au1 0.1663 0.3325 0.7500
```

Top 6 peaks for 15 to 90 degrees two-theta, low angle first:
hkl 1 0 1, 2θ 24.82, rel. 26; hkl 0 0 2, 2θ 35.06, rel. 32; hkl 2 0 0, 2θ 35.72, rel. 23; hkl 2 0 1, 2θ 39.96, rel. 100; hkl 2 0 3, 2θ 66.20, rel. 23; hkl 2 2 2, 2θ 75.28, rel. 21

***

Calculated powder XRD pattern of K2InBiF6 for Cu Kα, from a GGA-PBE-relaxed structure.
No peak broadening, texture or thermal motion is included.

Crystal structure
```
data_K2InBiF6
_chemical_formula_sum 'K8 In4 Bi4 F24'
_cell_length_a 9.6808
_cell_length_b 9.6808
_cell_length_c 9.6808
_cell_angle_alpha 90.00
_cell_angle_beta 90.00
_cell_angle_gamma 90.00
_symmetry_space_group_name_H-M 'F m -3 m'
_symmetry_Int_Tables_number 225
_symmetry_space_group_name_Hall '-F 4 2 3'
loop_
_atom_site_label
_atom_site_fract_x
_atom_site_fract_y
_atom_site_fract_z
K1 0.2500 0.2500 0.2500
In1 0.0000 0.0000 0.0000
Bi1 0.0000 0.0000 0.5000
F1 0.0000 0.0000 0.2649
```

Top 6 peaks for 15 to 90 degrees two-theta, low angle first:
hkl 2 0 0, 2θ 18.33, rel. 67; hkl 2 2 0, 2θ 26.03, rel. 100; hkl 4 0 0, 2θ 37.15, rel. 40; hkl 4 2 0, 2θ 41.73, rel. 34; hkl 4 2 2, 2θ 45.92, rel. 43; hkl 4 4 0, 2θ 53.55, rel. 26

***

Calculated powder XRD pattern of PaAl3 for Cu Kα, from a GGA-PBE-relaxed structure.
No peak broadening, texture or thermal motion is included.

Crystal structure
```
data_PaAl3
_chemical_formula_sum 'Pa1 Al3'
_cell_length_a 4.3068
_cell_length_b 4.3068
_cell_length_c 4.3068
_cell_angle_alpha 90.00
_cell_angle_beta 90.00
_cell_angle_gamma 90.00
_symmetry_space_group_name_H-M 'P m -3 m'
_symmetry_Int_Tables_number 221
_symmetry_space_group_name_Hall '-P 4 2 3'
loop_
_atom_site_label
_atom_site_fract_x
_atom_site_fract_y
_atom_site_fract_z
Pa1 0.0000 0.0000 0.0000
Al1 0.0000 0.5000 0.5000
```

Top 6 peaks for 15 to 90 degrees two-theta, low angle first:
hkl 1 0 0, 2θ 20.62, rel. 100; hkl 1 1 0, 2θ 29.33, rel. 86; hkl 1 1 1, 2θ 36.12, rel. 81; hkl 2 0 0, 2θ 41.95, rel. 40; hkl 2 1 0, 2θ 47.19, rel. 49; hkl 2 1 1, 2θ 52.01, rel. 37

***

Calculated powder XRD pattern of TeAs2O4 for Cu Kα, from a GGA-PBE-relaxed structure.
No peak broadening, texture or thermal motion is included.

Crystal structure
```
data_TeAs2O4
_chemical_formula_sum 'Te1 As2 O4'
_cell_length_a 3.6923
_cell_length_b 6.0252
_cell_length_c 6.5153
_cell_angle_alpha 112.55
_cell_angle_beta 98.03
_cell_angle_gamma 106.70
_symmetry_space_group_name_H-M 'P 1'
_symmetry_Int_Tables_number 1
loop_
_symmetry_equiv_pos_as_xyz
'x,y,z'
loop_
_atom_site_label
_atom_site_fract_x
_atom_site_fract_y
_atom_site_fract_z
Te1 0.0000 0.0000 0.0000
As1 0.1533 0.9484 0.4992
As2 0.6285 0.4286 0.5090
O1 0.0184 0.1360 0.7485
O2 0.2833 0.3827 0.2568
O3 0.5136 0.6470 0.7378
O4 0.7866 0.9016 0.2625
```

Top 6 peaks for 15 to 90 degrees two-theta, low angle first:
hkl 0 1 0, 2θ 17.18, rel. 100; hkl 1 -1 0, 2θ 25.48, rel. 73; hkl 0 0 2, 2θ 30.99, rel. 41; hkl 0 2 0, 2θ 34.73, rel. 43; hkl 0 2 -2, 2θ 34.78, rel. 43; hkl 1 1 0, 2θ 36.72, rel. 34

***

Calculated powder XRD pattern of LiMg2Rh for Cu Kα, from a GGA-PBE-relaxed structure.
No peak broadening, texture or thermal motion is included.

Crystal structure
```
data_LiMg2Rh
_chemical_formula_sum 'Li4 Mg8 Rh4'
_cell_length_a 6.3909
_cell_length_b 6.3909
_cell_length_c 6.3909
_cell_angle_alpha 90.00
_cell_angle_beta 90.00
_cell_angle_gamma 90.00
_symmetry_space_group_name_H-M 'F m -3 m'
_symmetry_Int_Tables_number 225
_symmetry_space_group_name_Hall '-F 4 2 3'
loop_
_atom_site_label
_atom_site_fract_x
_atom_site_fract_y
_atom_site_fract_z
Li1 0.0000 0.0000 0.0000
Mg1 0.2500 0.2500 0.2500
Rh1 0.0000 0.0000 0.5000
```

Top 6 peaks for 15 to 90 degrees two-theta, low angle first:
hkl 1 1 1, 2θ 24.12, rel. 98; hkl 2 0 0, 2θ 27.92, rel. 18; hkl 2 2 0, 2θ 39.90, rel. 100; hkl 3 1 1, 2θ 47.17, rel. 47; hkl 3 3 1, 2θ 63.45, rel. 19; hkl 4 2 2, 2θ 72.45, rel. 33